Diffraction record for UNi6Ge. The powder XRD pattern is calculated, not measured: it uses a GGA-PBE-relaxed structure and Cu Kα X-rays.

Peak list (12 most intense, 10 to 90 degrees two-theta, in order of falling intensity)
1.998 Å, intensity 100; 3.116 Å, intensity 30; 2.155 Å, intensity 28; 2.255 Å, intensity 27; 4.509 Å, intensity 24; 1.114 Å, intensity 19; 1.211 Å, intensity 19; 1.558 Å, intensity 17; 1.302 Å, intensity 15; 1.091 Å, intensity 14; 2.604 Å, intensity 9; 2.228 Å, intensity 9

Cell and atoms:
```
UNi6Ge
1.0
5.207 0.000 0.000
-2.604 4.509 0.000
0.000 0.000 4.309
U Ni Ge
1 6 1
direct
0.000 0.000 0.000
0.348 0.174 0.500
0.502 0.003 0.000
0.502 0.498 0.000
0.826 0.174 0.500
0.826 0.652 0.500
0.997 0.498 0.000
0.333 0.667 0.500
```

Diffraction record for U2Ni6Ge. The powder XRD pattern is calculated, not measured: it uses a GGA-PBE-relaxed structure and Cu Kα X-rays.

Peak list (12 most intense, 10 to 90 degrees two-theta, in order of falling intensity)
2.073 Å, intensity 100; 2.390 Å, intensity 64; 3.501 Å, intensity 60; 2.572 Å, intensity 34; 2.341 Å, intensity 30; 1.447 Å, intensity 22; 2.832 Å, intensity 20; 1.286 Å, intensity 20; 1.614 Å, intensity 19; 1.522 Å, intensity 19; 1.738 Å, intensity 17; 2.227 Å, intensity 17

Cell and atoms:
```
U2Ni6Ge
1.0
5.143 0.000 0.000
-2.572 4.454 0.000
0.000 0.000 5.664
U Ni Ge
2 6 1
direct
0.333 0.667 0.311
0.667 0.333 0.689
0.174 0.348 0.829
0.174 0.826 0.829
0.348 0.174 0.171
0.652 0.826 0.829
0.826 0.174 0.171
0.826 0.652 0.171
0.000 0.000 0.500
```

Diffraction record for UZnNi2Ge2. The powder XRD pattern is calculated, not measured: it uses a GGA-PBE-relaxed structure and Cu Kα X-rays.

Peak list (12 most intense, 10 to 90 degrees two-theta, in order of falling intensity)
2.426 Å, intensity 100; 2.034 Å, intensity 63; 3.118 Å, intensity 53; 1.559 Å, intensity 25; 1.237 Å, intensity 24; 3.524 Å, intensity 21; 1.503 Å, intensity 14; 1.511 Å, intensity 12; 1.884 Å, intensity 12; 1.175 Å, intensity 11; 1.704 Å, intensity 10; 1.292 Å, intensity 10

Cell and atoms:
```
UZnNi2Ge2
1.0
4.069 0.000 0.000
-2.034 3.524 0.000
0.000 0.000 6.689
U Zn Ni Ge
1 1 2 2
direct
0.000 0.000 0.000
0.000 0.000 0.500
0.333 0.667 0.359
0.667 0.333 0.641
0.333 0.667 0.738
0.667 0.333 0.262
```

Diffraction record for VNi14Ge. The powder XRD pattern is calculated, not measured: it uses a GGA-PBE-relaxed structure and Cu Kα X-rays.

Peak list (5 most intense, 10 to 90 degrees two-theta, in order of falling intensity)
2.044 Å, intensity 100; 1.778 Å, intensity 31; 1.249 Å, intensity 18; 1.754 Å, intensity 15; 1.257 Å, intensity 9

Cell and atoms:
```
VNi14Ge
1.0
5.030 0.000 0.000
0.000 5.030 0.000
0.000 0.000 7.015
V Ni Ge
1 14 1
direct
0.000 0.000 0.000
0.000 0.000 0.500
0.000 0.500 0.000
0.000 0.500 0.500
0.248 0.248 0.251
0.248 0.248 0.749
0.248 0.752 0.251
0.248 0.752 0.749
0.500 0.000 0.000
0.500 0.000 0.500
0.500 0.500 0.500
0.752 0.248 0.251
0.752 0.248 0.749
0.752 0.752 0.251
0.752 0.752 0.749
0.500 0.500 0.000
```

Diffraction record for V2Ni7Ge. The powder XRD pattern is calculated, not measured: it uses a GGA-PBE-relaxed structure and Cu Kα X-rays.

Peak list (12 most intense, 10 to 90 degrees two-theta, in order of falling intensity)
2.094 Å, intensity 100; 2.043 Å, intensity 77; 2.003 Å, intensity 77; 2.126 Å, intensity 73; 1.927 Å, intensity 54; 2.099 Å, intensity 45; 1.715 Å, intensity 38; 2.489 Å, intensity 24; 1.630 Å, intensity 23; 1.813 Å, intensity 22; 2.108 Å, intensity 20; 1.244 Å, intensity 19

Cell and atoms:
```
V2Ni7Ge
1.0
6.098 0.000 0.000
0.000 2.489 0.000
-2.692 0.000 7.936
V Ni Ge
2 7 1
direct
0.091 0.000 0.384
0.909 0.000 0.616
0.132 0.500 0.889
0.242 0.000 0.164
0.325 0.000 0.695
0.500 0.000 0.000
0.675 0.000 0.305
0.758 0.000 0.836
0.868 0.500 0.111
0.500 0.500 0.500
```

Diffraction record for Y2Ni3Ge4. The powder XRD pattern is calculated, not measured: it uses a GGA-PBE-relaxed structure and Cu Kα X-rays.

Peak list (12 most intense, 10 to 90 degrees two-theta, in order of falling intensity)
2.214 Å, intensity 100; 2.431 Å, intensity 82; 2.298 Å, intensity 68; 2.454 Å, intensity 49; 2.017 Å, intensity 23; 2.578 Å, intensity 22; 1.289 Å, intensity 22; 1.533 Å, intensity 19; 1.193 Å, intensity 15; 1.460 Å, intensity 15; 1.396 Å, intensity 14; 1.625 Å, intensity 13

Cell and atoms:
```
Y2Ni3Ge4
1.0
2.793 -7.274 0.000
2.793 7.274 0.000
0.000 0.000 7.261
Y Ni Ge
4 6 8
direct
0.110 0.890 0.906
0.390 0.610 0.406
0.610 0.390 0.594
0.890 0.110 0.094
0.000 0.000 0.500
0.025 0.475 0.750
0.475 0.025 0.250
0.500 0.500 0.000
0.525 0.975 0.750
0.975 0.525 0.250
0.184 0.816 0.525
0.191 0.309 0.750
0.309 0.191 0.250
0.316 0.684 0.025
0.684 0.316 0.975
0.691 0.809 0.750
0.809 0.691 0.250
0.816 0.184 0.475
```